The following is a computed powder diffractogram of Tb4Y2Ho. It was derived from a cell relaxed with GGA-PBE, using a wavelength of 1.5418 Å.
Lines closer than 0.1° are merged.

Top 6 peaks for 2θ from 10° to 90°, by angle:
d_spacing	2θ/deg	I_rel	index
3.072	29.07	468	1 0 1
2.866	31.21	504	0 0 7
2.819	31.74	1000	1 0 3
2.642	33.93	863	0 1 4
1.795	50.87	385	1 1 0
1.521	60.90	446	1 1 7

Crystal structure
```
7
Lattice="3.5898 0.0000 0.0000 -1.7949 3.1088 0.0000 0.0000 0.0000 20.0619" Properties=species:S:1:pos:R:3 pbc="T T T"
Tb 0.0000 0.0000 0.0000
Tb 0.0000 0.0000 5.6728
Tb 1.7949 1.0363 8.5625
Tb 1.7949 1.0363 14.3041
Y 0.0000 2.0726 11.4441
Y 0.0000 2.0726 17.1815
Ho 0.0000 2.0726 2.8270
```